Starting from DFT lattice parameters and positions (PBE), the XRD peak list of CsB5H8O12 was computed for copper Kα.

Peak list (6 most intense, 10° ≤ 2θ ≤ 80°, low angle first)
| Position (°2θ) | I (rel.) |
| --- | --- |
| 14.97 | 36.1 |
| 15.29 | 59.4 |
| 25.40 | 100.0 |
| 26.17 | 67.7 |
| 26.40 | 28.5 |
| 30.20 | 41.1 |

Structure:
abc: 7.2824 7.2824 11.8543
angles: 91.92 91.92 105.43
Fractional coordinates of all 52 atoms:
1 Cs 0.2086 0.7914 0.7500
2 Cs 0.7914 0.2086 0.2500
3 B 0.1448 0.7247 0.4403
4 B 0.2501 0.5191 0.0685
5 B 0.2753 0.8552 0.0597
6 B 0.2852 0.7148 0.2500
7 B 0.4809 0.7499 0.4315
8 B 0.5191 0.2501 0.5685
9 B 0.7148 0.2852 0.7500
10 B 0.7247 0.1448 0.9403
11 B 0.7499 0.4809 0.9315
12 B 0.8552 0.2753 0.5597
13 H 0.1055 0.3157 0.7449
14 H 0.1234 0.2627 0.5196
15 H 0.2309 0.3537 0.9276
16 H 0.2627 0.1234 0.0196
17 H 0.3157 0.1055 0.2449
18 H 0.3168 0.3280 0.2493
19 H 0.3280 0.3168 0.7493
20 H 0.3537 0.2309 0.4276
21 H 0.6463 0.7691 0.5724
22 H 0.6720 0.6832 0.2507
23 H 0.6832 0.6720 0.7507
24 H 0.6843 0.8945 0.7551
25 H 0.7373 0.8766 0.9804
26 H 0.7691 0.6463 0.0724
27 H 0.8766 0.7373 0.4804
28 H 0.8945 0.6843 0.2551
29 O 0.0033 0.7320 0.5111
30 O 0.1234 0.7052 0.3248
31 O 0.2278 0.3572 0.7899
32 O 0.2347 0.3473 0.0127
33 O 0.2523 0.5304 0.1842
34 O 0.2595 0.6782 0.0054
35 O 0.2680 0.9967 0.9889
36 O 0.2948 0.8766 0.1752
37 O 0.3218 0.7405 0.4946
38 O 0.3473 0.2347 0.5127
39 O 0.3572 0.2278 0.2899
40 O 0.4696 0.7477 0.3158
41 O 0.5304 0.2523 0.6842
42 O 0.6428 0.7722 0.7101
43 O 0.6527 0.7653 0.4873
44 O 0.6782 0.2595 0.5054
45 O 0.7052 0.1234 0.8248
46 O 0.7320 0.0033 0.0111
47 O 0.7405 0.3218 0.9946
48 O 0.7477 0.4696 0.8158
49 O 0.7653 0.6527 0.9873
50 O 0.7722 0.6428 0.2101
51 O 0.8766 0.2948 0.6752
52 O 0.9967 0.2680 0.4889


Starting from DFT lattice parameters and positions (PBE), the XRD peak list of Ce2AlCu3Ni12 was computed for copper Kα.

Peak list (6 most intense, 10° ≤ 2θ ≤ 80°, low angle first)
| Position (°2θ) | I (rel.) |
| --- | --- |
| 16.89 | 62.3 |
| 30.93 | 71.4 |
| 33.50 | 51.4 |
| 36.69 | 88.0 |
| 45.48 | 48.7 |
| 45.60 | 100.0 |

Structure:
abc: 8.6524 8.6524 8.6524
angles: 42.11 42.11 42.11
Fractional coordinates of all 18 atoms:
1 Ce 0.1394 0.1394 0.1394
2 Ce 0.8606 0.8606 0.8606
3 Al 0.5000 0.5000 0.5000
4 Cu 0.0000 0.5000 0.5000
5 Cu 0.5000 0.0000 0.5000
6 Cu 0.5000 0.5000 0.0000
7 Ni 0.0654 0.6276 0.6276
8 Ni 0.0798 0.0798 0.6996
9 Ni 0.0798 0.6996 0.0798
10 Ni 0.3004 0.9202 0.9202
11 Ni 0.3724 0.3724 0.9346
12 Ni 0.3724 0.9346 0.3724
13 Ni 0.6276 0.0654 0.6276
14 Ni 0.6276 0.6276 0.0654
15 Ni 0.6996 0.0798 0.0798
16 Ni 0.9202 0.3004 0.9202
17 Ni 0.9202 0.9202 0.3004
18 Ni 0.9346 0.3724 0.3724